Ba3LaRu2O9: theoretical X-ray diffraction stick pattern (Cu Kα (weighted mean of Kα1 and Kα2)), based on a DFT-relaxed cell (GGA-PBE, Alexandria).

The 12 most intense peaks (10 to 90 degrees two-theta), in order of rising 2θ:
| Position (°2θ) | I (rel.) |
| --- | --- |
| 24.59 | 21.2 |
| 29.22 | 74.9 |
| 29.69 | 100.0 |
| 38.92 | 16.8 |
| 42.14 | 43.0 |
| 45.53 | 16.3 |
| 52.39 | 27.4 |
| 52.68 | 20.0 |
| 55.30 | 14.3 |
| 61.64 | 18.7 |
| 64.02 | 13.2 |
| 69.65 | 13.6 |

Cell and atoms:
```
Ba3LaRu2O9
1.0
6.019 0.000 0.000
-3.009 5.212 0.000
0.000 0.000 15.094
Ba La Ru O
6 2 4 18
direct
0.000 0.000 0.250
0.000 0.000 0.750
0.333 0.667 0.107
0.333 0.667 0.393
0.667 0.333 0.607
0.667 0.333 0.893
0.000 0.000 0.000
0.000 0.000 0.500
0.333 0.667 0.668
0.333 0.667 0.832
0.667 0.333 0.168
0.667 0.333 0.332
0.017 0.508 0.750
0.178 0.357 0.595
0.178 0.357 0.905
0.178 0.822 0.595
0.178 0.822 0.905
0.357 0.178 0.095
0.357 0.178 0.405
0.492 0.508 0.750
0.492 0.983 0.750
0.508 0.017 0.250
0.508 0.492 0.250
0.643 0.822 0.595
0.643 0.822 0.905
0.822 0.178 0.095
0.822 0.178 0.405
0.822 0.643 0.095
0.822 0.643 0.405
0.983 0.492 0.250
```



Ac3Hg4Pb: theoretical X-ray diffraction stick pattern (Cu Kα (weighted mean of Kα1 and Kα2)), based on a DFT-relaxed cell (GGA-PBE, Alexandria).

The 12 most intense peaks (10 to 90 degrees two-theta), in order of rising 2θ:
| Position (°2θ) | I (rel.) |
| --- | --- |
| 26.82 | 100.0 |
| 30.77 | 64.4 |
| 31.65 | 37.4 |
| 32.29 | 26.2 |
| 32.76 | 43.1 |
| 34.89 | 26.4 |
| 35.22 | 66.2 |
| 36.94 | 35.0 |
| 44.72 | 29.7 |
| 55.26 | 26.1 |
| 60.61 | 37.6 |
| 65.89 | 28.4 |

Cell and atoms:
```
Ac3Hg4Pb
1.0
-2.026 4.062 8.318
2.026 -4.062 8.318
2.026 4.062 -8.318
Ac Hg Pb
3 4 1
direct
0.000 0.000 0.000
0.310 0.810 0.500
0.690 0.190 0.500
0.060 0.365 0.695
0.331 0.635 0.695
0.669 0.365 0.305
0.940 0.635 0.305
0.500 0.500 0.000
```



LaNi3Rh2: theoretical X-ray diffraction stick pattern (Cu Kα (weighted mean of Kα1 and Kα2)), based on a DFT-relaxed cell (GGA-PBE, Alexandria).

The 12 most intense peaks (10 to 90 degrees two-theta), in order of rising 2θ:
| Position (°2θ) | I (rel.) |
| --- | --- |
| 29.55 | 39.6 |
| 30.12 | 62.0 |
| 35.11 | 29.9 |
| 39.60 | 71.5 |
| 40.53 | 86.2 |
| 41.34 | 24.4 |
| 41.81 | 100.0 |
| 44.84 | 55.4 |
| 45.75 | 24.9 |
| 61.34 | 38.7 |
| 65.74 | 24.6 |
| 74.21 | 22.6 |

Cell and atoms:
```
LaNi3Rh2
1.0
2.666 -4.368 0.000
2.666 4.368 0.000
0.000 0.000 4.043
La Ni Rh
1 3 2
direct
0.000 0.000 0.000
0.344 0.656 0.000
0.500 0.500 0.500
0.656 0.344 0.000
0.000 0.500 0.500
0.500 0.000 0.500
```



NaCuAgBr4: theoretical X-ray diffraction stick pattern (Cu Kα (weighted mean of Kα1 and Kα2)), based on a DFT-relaxed cell (GGA-PBE, Alexandria).

The 12 most intense peaks (10 to 90 degrees two-theta), in order of rising 2θ:
| Position (°2θ) | I (rel.) |
| --- | --- |
| 13.15 | 34.5 |
| 22.26 | 26.8 |
| 24.05 | 23.0 |
| 25.14 | 45.9 |
| 25.69 | 51.7 |
| 26.47 | 94.9 |
| 32.36 | 22.0 |
| 42.63 | 100.0 |
| 43.46 | 26.4 |
| 45.41 | 24.0 |
| 48.80 | 22.5 |
| 51.60 | 25.2 |

Cell and atoms:
```
NaCuAgBr4
1.0
3.994 -6.263 0.000
3.994 6.263 0.000
0.000 0.000 8.330
Na Cu Ag Br
2 2 2 8
direct
0.000 0.000 0.000
0.000 0.000 0.500
0.357 0.643 0.750
0.643 0.357 0.250
0.351 0.649 0.250
0.649 0.351 0.750
0.242 0.758 0.521
0.242 0.758 0.979
0.252 0.281 0.750
0.281 0.252 0.250
0.719 0.748 0.750
0.748 0.719 0.250
0.758 0.242 0.021
0.758 0.242 0.479
```